Starting from DFT lattice parameters and positions (PBE), the powder diffraction line list of Nd3SiHg2Rh3 was calculated for Cu Ka.
Intensities are scaled so that the largest is 100.

Structure:
Lattice parameters (Å, degrees): 7.8200 7.8200 3.6950 90.00 90.00 120.00
Element x y z (fractional)
Nd 0.0000 0.6238 0.0000
Nd 0.3762 0.3762 0.0000
Nd 0.6238 0.0000 0.0000
Si 0.0000 0.0000 0.0000
Hg 0.3333 0.6667 0.5000
Hg 0.6667 0.3333 0.5000
Rh 0.0000 0.2147 0.5000
Rh 0.2147 0.0000 0.5000
Rh 0.7853 0.7853 0.5000

Top 10 peaks for 15 to 90 degrees two-theta, by angle:
Position (°2θ), I_rel
22.7, 16
33.4, 100
35.1, 39
36.0, 33
39.9, 32
43.0, 26
49.3, 14
61.9, 15
65.3, 15
68.4, 24


Starting from DFT lattice parameters and positions (PBE), the powder diffraction line list of Ho8Te4CSe3 was calculated for Cu Ka.
Intensities are scaled so that the largest is 100.

Structure:
Lattice parameters (Å, degrees): 8.4177 8.4177 8.4177 58.32 58.32 58.32
Element x y z (fractional)
Ho 0.2396 0.2396 0.2396
Ho 0.2702 0.7152 0.7152
Ho 0.2848 0.2848 0.7298
Ho 0.2848 0.7298 0.2848
Ho 0.7152 0.2702 0.7152
Ho 0.7152 0.7152 0.2702
Ho 0.7298 0.2848 0.2848
Ho 0.7604 0.7604 0.7604
Te 0.0000 0.0000 0.0000
Te 0.0000 0.5000 0.5000
Te 0.5000 0.0000 0.5000
Te 0.5000 0.5000 0.0000
C 0.5000 0.5000 0.5000
Se 0.0000 0.0000 0.5000
Se 0.0000 0.5000 0.0000
Se 0.5000 0.0000 0.0000

Top 10 peaks for 15 to 90 degrees two-theta, by angle:
Position (°2θ), I_rel
26.5, 9
30.4, 100
33.1, 14
43.0, 29
44.2, 36
54.6, 16
60.2, 9
63.3, 8
71.1, 7
72.7, 12


Starting from DFT lattice parameters and positions (PBE), the powder diffraction line list of La2PmSm2Ho was calculated for Cu Ka.
Intensities are scaled so that the largest is 100.

Structure:
Lattice parameters (Å, degrees): 5.7769 10.0283 7.1214 90.00 90.00 90.00
Element x y z (fractional)
La 0.0000 0.0006 0.0000
La 0.0000 0.9994 0.5000
La 0.5000 0.1715 0.2504
La 0.5000 0.8285 0.7504
Pm 0.5000 0.4997 0.9998
Pm 0.5000 0.5003 0.4998
Sm 0.0000 0.3327 0.2501
Sm 0.0000 0.6673 0.7501
Sm 0.5000 0.1658 0.7497
Sm 0.5000 0.8342 0.2497
Ho 0.0000 0.3379 0.7496
Ho 0.0000 0.6621 0.2496

Top 10 peaks for 15 to 90 degrees two-theta, by angle:
Position (°2θ), I_rel
30.8, 88
30.9, 100
40.2, 13
44.2, 33
54.9, 41
55.0, 13
61.1, 29
73.1, 10
78.5, 14
89.8, 10


Please write out number 2 again, unchanged.
Starting from DFT lattice parameters and positions (PBE), the powder diffraction line list of Ho8Te4CSe3 was calculated for Cu Ka.
Intensities are scaled so that the largest is 100.

Structure:
Lattice parameters (Å, degrees): 8.4177 8.4177 8.4177 58.32 58.32 58.32
Element x y z (fractional)
Ho 0.2396 0.2396 0.2396
Ho 0.2702 0.7152 0.7152
Ho 0.2848 0.2848 0.7298
Ho 0.2848 0.7298 0.2848
Ho 0.7152 0.2702 0.7152
Ho 0.7152 0.7152 0.2702
Ho 0.7298 0.2848 0.2848
Ho 0.7604 0.7604 0.7604
Te 0.0000 0.0000 0.0000
Te 0.0000 0.5000 0.5000
Te 0.5000 0.0000 0.5000
Te 0.5000 0.5000 0.0000
C 0.5000 0.5000 0.5000
Se 0.0000 0.0000 0.5000
Se 0.0000 0.5000 0.0000
Se 0.5000 0.0000 0.0000

Top 10 peaks for 15 to 90 degrees two-theta, by angle:
Position (°2θ), I_rel
26.5, 9
30.4, 100
33.1, 14
43.0, 29
44.2, 36
54.6, 16
60.2, 9
63.3, 8
71.1, 7
72.7, 12